(1)
Diffraction record for GaAgO2. The PXRD pattern is computed, not measured: it uses a cell relaxed with GGA-PBE and Cu Kα X-rays.
Intensities are scaled so that the largest is 100.

Cell and atoms:
```
data_GaAgO2
_cell_length_a 5.6605
_cell_length_b 7.2324
_cell_length_c 5.5650
_cell_angle_alpha 90.00
_cell_angle_beta 90.00
_cell_angle_gamma 90.00
_symmetry_space_group_name_H-M 'P n a 21'
_symmetry_Int_Tables_number 33
loop_
_symmetry_equiv_pos_as_xyz
'x,y,z'
'-x,-y,z+1/2'
'-x+1/2,y+1/2,z+1/2'
'x+1/2,-y+1/2,z'
loop_
_atom_site_label
_atom_site_fract_x
_atom_site_fract_y
_atom_site_fract_z
Ga1 0.0602 0.1244 0.0000
Ag1 0.0504 0.6248 0.9941
O1 0.0410 0.0834 0.3314
O2 0.1225 0.6684 0.4215
```

Peak list (8 most intense, 15 to 90 degrees two-theta, most intense first)
| (hkl) | 2θ/deg | I/Imax |
| --- | --- | --- |
| 1 2 1 | 33.5 | 100 |
| 0 0 2 | 32.2 | 40 |
| 2 0 0 | 31.6 | 29 |
| 1 2 3 | 58.2 | 26 |
| 2 0 1 | 35.6 | 16 |
| 1 2 0 | 29.3 | 16 |
| 2 0 2 | 45.7 | 15 |
| 3 2 0 | 54.9 | 14 |

***

(2)
Diffraction record for PmGaAg2. The PXRD pattern is computed, not measured: it uses a cell relaxed with GGA-PBE and Cu Kα X-rays.
Intensities are scaled so that the largest is 100.

Cell and atoms:
```
data_PmGaAg2
_cell_length_a 6.9756
_cell_length_b 6.9756
_cell_length_c 6.9756
_cell_angle_alpha 90.00
_cell_angle_beta 90.00
_cell_angle_gamma 90.00
_symmetry_space_group_name_H-M 'F m -3 m'
_symmetry_Int_Tables_number 225
_symmetry_space_group_name_Hall '-F 4 2 3'
loop_
_atom_site_label
_atom_site_fract_x
_atom_site_fract_y
_atom_site_fract_z
Pm1 0.0000 0.0000 0.0000
Ga1 0.0000 0.0000 0.5000
Ag1 0.2500 0.2500 0.2500
```

Peak list (8 most intense, 15 to 90 degrees two-theta, most intense first)
| (hkl) | 2θ/deg | I/Imax |
| --- | --- | --- |
| 2 2 0 | 36.4 | 100 |
| 4 2 2 | 65.6 | 34 |
| 4 0 0 | 52.5 | 17 |
| 6 2 0 | 88.7 | 15 |
| 4 4 0 | 77.4 | 11 |
| 1 1 1 | 22.1 | 6 |
| 3 1 1 | 43.0 | 3 |
| 3 3 1 | 57.6 | 1 |

***

(3)
Diffraction record for Pm2GaAg. The PXRD pattern is computed, not measured: it uses a cell relaxed with GGA-PBE and Cu Kα X-rays.
Intensities are scaled so that the largest is 100.

Cell and atoms:
```
data_Pm2GaAg
_cell_length_a 7.4348
_cell_length_b 7.4348
_cell_length_c 7.4348
_cell_angle_alpha 90.00
_cell_angle_beta 90.00
_cell_angle_gamma 90.00
_symmetry_space_group_name_H-M 'F m -3 m'
_symmetry_Int_Tables_number 225
_symmetry_space_group_name_Hall '-F 4 2 3'
loop_
_atom_site_label
_atom_site_fract_x
_atom_site_fract_y
_atom_site_fract_z
Pm1 0.2500 0.2500 0.2500
Ga1 0.0000 0.0000 0.0000
Ag1 0.0000 0.0000 0.5000
```

Peak list (8 most intense, 15 to 90 degrees two-theta, most intense first)
| (hkl) | 2θ/deg | I/Imax |
| --- | --- | --- |
| 2 2 0 | 34.1 | 100 |
| 4 2 2 | 61.1 | 36 |
| 4 0 0 | 49.0 | 18 |
| 6 2 0 | 82.0 | 16 |
| 4 4 0 | 71.8 | 11 |
| 2 0 0 | 23.9 | 6 |
| 4 2 0 | 55.3 | 3 |
| 2 2 2 | 42.1 | 2 |

***

(4)
Diffraction record for GaAgSeS. The PXRD pattern is computed, not measured: it uses a cell relaxed with GGA-PBE and Cu Kα X-rays.
Intensities are scaled so that the largest is 100.

Cell and atoms:
```
data_GaAgSeS
_cell_length_a 8.3934
_cell_length_b 8.3944
_cell_length_c 6.8115
_cell_angle_alpha 90.00
_cell_angle_beta 127.25
_cell_angle_gamma 90.00
_symmetry_space_group_name_H-M 'C 1 c 1'
_symmetry_Int_Tables_number 9
loop_
_symmetry_equiv_pos_as_xyz
'x,y,z'
'x,-y,z+1/2'
'x+1/2,y+1/2,z'
'x+1/2,-y+1/2,z+1/2'
loop_
_atom_site_label
_atom_site_fract_x
_atom_site_fract_y
_atom_site_fract_z
Ga1 0.0000 0.1172 0.0000
Ag1 0.0141 0.3678 0.4993
Se1 0.3639 0.1412 0.2502
S1 0.3979 0.3938 0.7493
```

Peak list (8 most intense, 15 to 90 degrees two-theta, most intense first)
| (hkl) | 2θ/deg | I/Imax |
| --- | --- | --- |
| 0 2 1 | 26.9 | 100 |
| 2 0 -2 | 27.0 | 55 |
| 0 4 0 | 43.1 | 47 |
| 2 0 0 | 26.7 | 46 |
| 2 2 1 | 45.1 | 43 |
| 2 2 -3 | 45.5 | 42 |
| 4 2 -1 | 51.4 | 31 |
| 2 4 -2 | 51.6 | 16 |